Record 1
Starting from a DFT-relaxed cell (PBE, Alexandria), the XRD peak list of Tl12SnBi7 was computed for copper Kα.
Lines closer than 0.1° are merged.

Most intense lines, 5° ≤ 2θ ≤ 70°, in order of falling intensity:
Position (°2θ)  I/Imax
29.25  100.0
30.54  64.9
32.60  45.4
28.80  35.6
39.63  27.1
27.10  26.9
32.48  24.3
37.87  22.7
40.96  20.8
62.43  20.3
36.19  17.8
60.03  16.8

Structural model:
```
Tl12SnBi7
1.0
8.200 4.735 2.915
-8.200 4.735 2.915
0.000 -9.469 2.915
Tl Sn Bi
12 1 7
Direct
0.043 0.347 0.926
0.074 0.957 0.653
0.174 0.479 0.686
0.314 0.826 0.521
0.347 0.926 0.043
0.479 0.686 0.174
0.521 0.314 0.826
0.653 0.074 0.957
0.686 0.174 0.479
0.826 0.521 0.314
0.926 0.043 0.347
0.957 0.653 0.074
0.500 0.500 0.500
0.000 0.000 0.000
0.087 0.386 0.294
0.294 0.087 0.386
0.386 0.294 0.087
0.614 0.706 0.913
0.706 0.913 0.614
0.913 0.614 0.706
```

=====

Record 2
Starting from a DFT-relaxed cell (PBE, Alexandria), the XRD peak list of Tl2Sn2Bi was computed for copper Kα.
Lines closer than 0.1° are merged.

Most intense lines, 5° ≤ 2θ ≤ 70°, in order of falling intensity:
Position (°2θ)  I/Imax
31.66  100.0
31.83  49.0
32.07  48.8
32.24  47.8
34.87  44.1
65.29  26.4
55.18  19.9
43.12  18.6
47.74  18.5
48.45  17.8
64.97  13.4
60.43  11.0

Structural model:
```
Tl2Sn2Bi
1.0
5.583 0.000 0.000
0.000 3.331 0.000
-2.614 0.000 8.104
Tl Sn Bi
2 2 1
Direct
0.103 0.000 0.207
0.897 0.000 0.793
0.297 0.500 0.595
0.703 0.500 0.405
0.500 0.500 0.000
```

=====

Record 3
Starting from a DFT-relaxed cell (PBE, Alexandria), the XRD peak list of Tl3Sn4Bi2 was computed for copper Kα.
Lines closer than 0.1° are merged.

Most intense lines, 5° ≤ 2θ ≤ 70°, in order of falling intensity:
Position (°2θ)  I/Imax
32.40  100.0
31.79  97.5
32.30  50.3
31.86  48.9
46.08  35.8
57.38  28.4
57.67  19.8
57.48  18.9
45.90  17.8
63.29  17.4
67.84  12.4
63.15  11.1

Structural model:
```
Tl3Sn4Bi2
1.0
8.315 -4.781 0.000
8.315 4.781 0.000
-0.029 0.000 6.950
Tl Sn Bi
6 8 4
Direct
0.001 0.999 0.750
0.334 0.334 0.248
0.334 0.334 0.748
0.666 0.666 0.252
0.666 0.666 0.752
0.999 0.001 0.250
0.006 0.662 0.021
0.333 0.661 0.971
0.338 0.994 0.479
0.339 0.667 0.529
0.661 0.333 0.471
0.662 0.006 0.521
0.667 0.339 0.029
0.994 0.338 0.979
0.001 0.672 0.469
0.328 0.999 0.031
0.672 0.001 0.969
0.999 0.328 0.531
```

=====

Record 4
Starting from a DFT-relaxed cell (PBE, Alexandria), the XRD peak list of Tl5SnBi2 was computed for copper Kα.
Lines closer than 0.1° are merged.

Most intense lines, 5° ≤ 2θ ≤ 70°, in order of falling intensity:
Position (°2θ)  I/Imax
30.98  100.0
35.25  35.1
52.21  23.5
37.24  15.6
60.65  14.7
60.57  14.4
63.28  13.5
64.57  12.2
50.76  6.3
50.64  6.1
22.22  1.3
23.01  0.9

Structural model:
```
Tl5SnBi2
1.0
7.210 0.000 0.000
0.000 14.389 0.000
0.000 0.000 4.829
Tl Sn Bi
10 2 4
Direct
0.000 0.000 0.000
0.007 0.252 0.000
0.245 0.876 0.500
0.255 0.376 0.500
0.493 0.752 0.000
0.500 0.500 0.000
0.507 0.248 0.000
0.745 0.624 0.500
0.755 0.124 0.500
0.993 0.748 0.000
0.000 0.500 0.000
0.500 0.000 0.000
0.231 0.618 0.500
0.269 0.118 0.500
0.731 0.882 0.500
0.769 0.382 0.500
```